Theoretical X-ray diffraction stick pattern of Pa3Ga4Ge3 for Cu Kα, 1.54184 Å, from a PBE-relaxed structure.
Kinematic intensities with the Lorentz-polarization factor, no thermal factor.

Largest 10 diffraction maxima, low angle first, 2θ = 10–90°:
23.03 deg, I 43; 26.65 deg, I 21; 29.86 deg, I 36; 35.50 deg, I 100; 42.74 deg, I 57; 44.94 deg, I 14; 53.02 deg, I 25; 60.31 deg, I 20; 67.10 deg, I 13; 68.74 deg, I 15

a b c (Å): 8.1933 8.1933 8.1933
angles (deg): 109.47 109.47 109.47
Positions (direct):
Pa: 0.1250 0.7500 0.8750
Pa: 0.2500 0.6250 0.3750
Pa: 0.3750 0.2500 0.6250
Pa: 0.6250 0.3750 0.2500
Pa: 0.7500 0.8750 0.1250
Pa: 0.8750 0.1250 0.7500
Ga: 0.0000 0.2988 0.5000
Ga: 0.0000 0.7988 0.5000
Ga: 0.2012 0.2012 0.2012
Ga: 0.2988 0.5000 0.0000
Ga: 0.5000 0.0000 0.2988
Ga: 0.5000 0.0000 0.7988
Ga: 0.7012 0.7012 0.7012
Ga: 0.7988 0.5000 0.0000
Ge: 0.1250 0.8750 0.2500
Ge: 0.2500 0.1250 0.8750
Ge: 0.3750 0.6250 0.7500
Ge: 0.6250 0.7500 0.3750
Ge: 0.7500 0.3750 0.6250
Ge: 0.8750 0.2500 0.1250

---

Theoretical X-ray diffraction stick pattern of Pa2Ga4TcGe2 for Cu Kα, 1.54184 Å, from a PBE-relaxed structure.
Kinematic intensities with the Lorentz-polarization factor, no thermal factor.

Largest 10 diffraction maxima, low angle first, 2θ = 10–90°:
28.72 deg, I 54; 28.90 deg, I 28; 35.44 deg, I 100; 40.79 deg, I 27; 41.33 deg, I 51; 51.10 deg, I 18; 59.47 deg, I 32; 59.88 deg, I 15; 67.79 deg, I 15; 71.54 deg, I 20

a b c (Å): 6.2181 6.2181 6.2181
angles (deg): 120.42 120.42 89.28
Positions (direct):
Pa: 0.2500 0.7500 0.5000
Pa: 0.7500 0.2500 0.5000
Ga: 0.2153 0.2153 0.4305
Ga: 0.2153 0.7847 0.0000
Ga: 0.7847 0.2153 0.0000
Ga: 0.7847 0.7847 0.5695
Tc: 0.5000 0.5000 0.0000
Ge: 0.2202 0.2202 0.0000
Ge: 0.7798 0.7798 0.0000

---

Theoretical X-ray diffraction stick pattern of Ga3Ge2Pd8 for Cu Kα, 1.54184 Å, from a PBE-relaxed structure.
Kinematic intensities with the Lorentz-polarization factor, no thermal factor.

Largest 10 diffraction maxima, low angle first, 2θ = 10–90°:
24.69 deg, I 57; 34.57 deg, I 22; 35.21 deg, I 88; 38.73 deg, I 70; 42.64 deg, I 25; 42.80 deg, I 100; 43.18 deg, I 63; 49.67 deg, I 50; 52.76 deg, I 23; 81.93 deg, I 22

a b c (Å): 6.9367 6.9367 7.2584
angles (deg): 115.90 115.90 48.35
Positions (direct):
Ga: 0.0000 0.0000 0.0000
Ga: 0.2676 0.7324 0.5000
Ga: 0.7324 0.2676 0.5000
Ge: 0.2387 0.2387 0.7839
Ge: 0.7613 0.7613 0.2161
Pd: 0.1299 0.1299 0.3974
Pd: 0.1323 0.6212 0.0935
Pd: 0.3788 0.8677 0.9065
Pd: 0.4032 0.4032 0.7018
Pd: 0.5968 0.5968 0.2982
Pd: 0.6212 0.1323 0.0935
Pd: 0.8677 0.3788 0.9065
Pd: 0.8701 0.8701 0.6026

---

Theoretical X-ray diffraction stick pattern of GaGePd6 for Cu Kα, 1.54184 Å, from a PBE-relaxed structure.
Kinematic intensities with the Lorentz-polarization factor, no thermal factor.

Largest 10 diffraction maxima, low angle first, 2θ = 10–90°:
40.24 deg, I 95; 40.35 deg, I 100; 42.47 deg, I 86; 54.84 deg, I 16; 61.46 deg, I 14; 61.77 deg, I 14; 71.73 deg, I 27; 76.12 deg, I 30; 76.33 deg, I 28; 86.93 deg, I 8

a b c (Å): 7.3442 7.3387 4.2574
angles (deg): 73.22 73.07 33.71
Positions (direct):
Ga: 0.0000 0.0000 0.0000
Ge: 0.5000 0.5000 0.5000
Pd: 0.1115 0.1115 0.3885
Pd: 0.2505 0.2505 0.7495
Pd: 0.3885 0.3885 0.1115
Pd: 0.6115 0.6115 0.8885
Pd: 0.7495 0.7495 0.2505
Pd: 0.8885 0.8885 0.6115

---

Theoretical X-ray diffraction stick pattern of Sr3GaGe6Pd2 for Cu Kα, 1.54184 Å, from a PBE-relaxed structure.
Kinematic intensities with the Lorentz-polarization factor, no thermal factor.

Largest 10 diffraction maxima, low angle first, 2θ = 10–90°:
26.34 deg, I 30; 28.93 deg, I 73; 30.69 deg, I 39; 35.10 deg, I 99; 35.61 deg, I 100; 39.52 deg, I 58; 44.82 deg, I 29; 46.09 deg, I 32; 55.71 deg, I 35; 59.95 deg, I 36

a b c (Å): 6.1720 6.1720 8.7410
angles (deg): 90.00 90.00 120.00
Positions (direct):
Sr: 0.0000 0.0000 0.0000
Sr: 0.3333 0.6667 0.6218
Sr: 0.6667 0.3333 0.3782
Ga: 0.0000 0.0000 0.5000
Ge: 0.1923 0.3846 0.2763
Ge: 0.1923 0.8077 0.2763
Ge: 0.3846 0.1923 0.7237
Ge: 0.6154 0.8077 0.2763
Ge: 0.8077 0.1923 0.7237
Ge: 0.8077 0.6154 0.7237
Pd: 0.3333 0.6667 0.0314
Pd: 0.6667 0.3333 0.9686

---

Theoretical X-ray diffraction stick pattern of SrGaGePd3 for Cu Kα, 1.54184 Å, from a PBE-relaxed structure.
Kinematic intensities with the Lorentz-polarization factor, no thermal factor.

Largest 10 diffraction maxima, low angle first, 2θ = 10–90°:
14.37 deg, I 47; 28.97 deg, I 25; 29.65 deg, I 65; 32.86 deg, I 30; 33.97 deg, I 49; 40.46 deg, I 100; 41.87 deg, I 29; 42.25 deg, I 30; 61.36 deg, I 17; 63.78 deg, I 23

a b c (Å): 7.0642 7.0642 5.8401
angles (deg): 90.00 90.00 121.50
Positions (direct):
Sr: 0.2174 0.7826 0.7500
Sr: 0.7826 0.2174 0.2500
Ga: 0.4750 0.5250 0.7500
Ga: 0.5250 0.4750 0.2500
Ge: 0.1219 0.8781 0.2500
Ge: 0.8781 0.1219 0.7500
Pd: 0.2071 0.2071 0.0000
Pd: 0.2071 0.2071 0.5000
Pd: 0.3214 0.6786 0.2500
Pd: 0.6786 0.3214 0.7500
Pd: 0.7929 0.7929 0.0000
Pd: 0.7929 0.7929 0.5000

---

Theoretical X-ray diffraction stick pattern of PmGa2Ge3 for Cu Kα, 1.54184 Å, from a PBE-relaxed structure.
Kinematic intensities with the Lorentz-polarization factor, no thermal factor.

Largest 10 diffraction maxima, low angle first, 2θ = 10–90°:
12.33 deg, I 17; 32.77 deg, I 100; 37.60 deg, I 36; 39.50 deg, I 78; 43.01 deg, I 25; 43.59 deg, I 24; 58.43 deg, I 20; 58.89 deg, I 20; 62.90 deg, I 16; 75.65 deg, I 18

a b c (Å): 4.2058 14.3532 4.1530
angles (deg): 90.00 90.00 90.00
Positions (direct):
Pm: 0.2500 0.2500 0.2487
Pm: 0.7500 0.7500 0.7513
Ga: 0.2500 0.5859 0.7528
Ga: 0.2500 0.9141 0.7528
Ga: 0.7500 0.0859 0.2472
Ga: 0.7500 0.4141 0.2472
Ge: 0.2500 0.0913 0.7476
Ge: 0.2500 0.4087 0.7476
Ge: 0.2500 0.7500 0.2512
Ge: 0.7500 0.2500 0.7488
Ge: 0.7500 0.5913 0.2524
Ge: 0.7500 0.9087 0.2524

---

Theoretical X-ray diffraction stick pattern of Pm8GaGe5 for Cu Kα, 1.54184 Å, from a PBE-relaxed structure.
Kinematic intensities with the Lorentz-polarization factor, no thermal factor.

Largest 10 diffraction maxima, low angle first, 2θ = 10–90°:
23.92 deg, I 11; 27.69 deg, I 15; 31.04 deg, I 100; 36.91 deg, I 61; 48.97 deg, I 19; 51.11 deg, I 34; 62.87 deg, I 22; 64.70 deg, I 12; 66.50 deg, I 14; 76.88 deg, I 15

a b c (Å): 7.8913 7.8913 7.8913
angles (deg): 109.49 109.49 109.44
Positions (direct):
Pm: 0.0070 0.6224 0.7455
Pm: 0.2425 0.4968 0.1171
Pm: 0.3776 0.1231 0.3846
Pm: 0.3797 0.1254 0.8829
Pm: 0.5032 0.6203 0.7457
Pm: 0.7385 0.9930 0.6154
Pm: 0.8746 0.7575 0.2543
Pm: 0.8769 0.2615 0.2545
Ga: 0.0000 0.0000 0.0000
Ge: 0.1246 0.2474 0.6256
Ge: 0.2500 0.7500 0.5000
Ge: 0.5010 0.8754 0.1227
Ge: 0.6218 0.4990 0.3744
Ge: 0.7526 0.3782 0.8773

---

Theoretical X-ray diffraction stick pattern of Pm2GaGe for Cu Kα, 1.54184 Å, from a PBE-relaxed structure.
Kinematic intensities with the Lorentz-polarization factor, no thermal factor.

Largest 10 diffraction maxima, low angle first, 2θ = 10–90°:
27.04 deg, I 22; 30.75 deg, I 100; 31.36 deg, I 42; 32.13 deg, I 27; 38.48 deg, I 52; 39.12 deg, I 19; 40.53 deg, I 27; 44.29 deg, I 21; 55.27 deg, I 17; 61.59 deg, I 15

a b c (Å): 6.0001 4.0900 8.6979
angles (deg): 90.00 108.08 90.00
Positions (direct):
Pm: 0.2074 0.2500 0.4288
Pm: 0.2876 0.7500 0.0691
Pm: 0.7124 0.2500 0.9309
Pm: 0.7926 0.7500 0.5712
Ga: 0.3642 0.7500 0.7121
Ga: 0.6358 0.2500 0.2879
Ge: 0.1379 0.2500 0.7890
Ge: 0.8621 0.7500 0.2110

---

Theoretical X-ray diffraction stick pattern of Pm5Ga3Ge3 for Cu Kα, 1.54184 Å, from a PBE-relaxed structure.
Kinematic intensities with the Lorentz-polarization factor, no thermal factor.

Largest 10 diffraction maxima, low angle first, 2θ = 10–90°:
21.45 deg, I 53; 28.78 deg, I 23; 29.15 deg, I 53; 33.16 deg, I 39; 36.47 deg, I 100; 39.83 deg, I 38; 43.70 deg, I 21; 53.39 deg, I 20; 54.05 deg, I 19; 55.93 deg, I 18

a b c (Å): 9.3601 9.3601 4.1432
angles (deg): 90.00 90.00 120.00
Positions (direct):
Pm: 0.0000 0.2550 0.0000
Pm: 0.2550 0.0000 0.0000
Pm: 0.3333 0.6667 0.0000
Pm: 0.6667 0.3333 0.0000
Pm: 0.7450 0.7450 0.0000
Ga: 0.0000 0.7650 0.5000
Ga: 0.2350 0.2350 0.5000
Ga: 0.7650 0.0000 0.5000
Ge: 0.0000 0.6045 0.0000
Ge: 0.3955 0.3955 0.0000
Ge: 0.6045 0.0000 0.0000

---

Theoretical X-ray diffraction stick pattern of Pm2Ga3Ge for Cu Kα, 1.54184 Å, from a PBE-relaxed structure.
Kinematic intensities with the Lorentz-polarization factor, no thermal factor.

Largest 10 diffraction maxima, low angle first, 2θ = 10–90°:
24.21 deg, I 11; 32.27 deg, I 100; 42.59 deg, I 41; 42.79 deg, I 14; 54.43 deg, I 22; 61.96 deg, I 27; 71.44 deg, I 13; 71.52 deg, I 7; 71.74 deg, I 10; 87.17 deg, I 6

a b c (Å): 8.4862 8.4750 5.9934
angles (deg): 69.41 69.21 41.39
Positions (direct):
Pm: 0.2461 0.7539 0.7539
Pm: 0.2500 0.2500 0.2500
Pm: 0.7500 0.7500 0.7500
Pm: 0.7539 0.2461 0.2461
Ga: 0.1691 0.6646 0.3354
Ga: 0.3346 0.3346 0.6654
Ga: 0.3354 0.8309 0.1691
Ga: 0.6646 0.1691 0.8309
Ga: 0.6654 0.6654 0.3346
Ga: 0.8309 0.3354 0.6646
Ge: 0.1672 0.1672 0.8328
Ge: 0.8328 0.8328 0.1672

---

Theoretical X-ray diffraction stick pattern of Pm3Ga2Ge for Cu Kα, 1.54184 Å, from a PBE-relaxed structure.
Kinematic intensities with the Lorentz-polarization factor, no thermal factor.

Largest 10 diffraction maxima, low angle first, 2θ = 10–90°:
26.25 deg, I 34; 29.75 deg, I 56; 30.08 deg, I 62; 30.62 deg, I 100; 31.54 deg, I 48; 32.70 deg, I 41; 34.06 deg, I 61; 37.18 deg, I 45; 39.36 deg, I 47; 43.41 deg, I 47

a b c (Å): 12.2273 4.1691 12.2701
angles (deg): 90.00 90.00 90.00
Positions (direct):
Pm: 0.0607 0.2500 0.1222
Pm: 0.1180 0.7500 0.5545
Pm: 0.2085 0.2500 0.7923
Pm: 0.2915 0.7500 0.2923
Pm: 0.3820 0.2500 0.0545
Pm: 0.4393 0.7500 0.6222
Pm: 0.5607 0.2500 0.3778
Pm: 0.6180 0.7500 0.9455
Pm: 0.7085 0.2500 0.7077
Pm: 0.7915 0.7500 0.2077
Pm: 0.8820 0.2500 0.4455
Pm: 0.9393 0.7500 0.8778
Ga: 0.0165 0.7500 0.3082
Ga: 0.1882 0.7500 0.9934
Ga: 0.3118 0.2500 0.4934
Ga: 0.4835 0.2500 0.8082
Ga: 0.5165 0.7500 0.1918
Ga: 0.6882 0.7500 0.5066
Ga: 0.8118 0.2500 0.0066
Ga: 0.9835 0.2500 0.6918
Ge: 0.1314 0.2500 0.3698
Ge: 0.3686 0.7500 0.8698
Ge: 0.6314 0.2500 0.1302
Ge: 0.8686 0.7500 0.6302

---

Theoretical X-ray diffraction stick pattern of Pm3GaGe3 for Cu Kα, 1.54184 Å, from a PBE-relaxed structure.
Kinematic intensities with the Lorentz-polarization factor, no thermal factor.

Largest 10 diffraction maxima, low angle first, 2θ = 10–90°:
26.17 deg, I 13; 28.83 deg, I 14; 31.48 deg, I 100; 35.73 deg, I 16; 40.56 deg, I 17; 41.11 deg, I 19; 42.02 deg, I 15; 44.44 deg, I 15; 55.51 deg, I 12; 59.13 deg, I 12

a b c (Å): 9.7605 9.7605 9.7605
angles (deg): 155.89 154.00 35.75
Positions (direct):
Pm: 0.0000 0.0000 0.0000
Pm: 0.1852 0.6852 0.5000
Pm: 0.3662 0.3662 0.0000
Ga: 0.6160 0.1160 0.5000
Ge: 0.5339 0.5339 0.0000
Ge: 0.7488 0.2488 0.5000
Ge: 0.8368 0.8368 0.0000